No. 1
Starting from a cell relaxed with PBE, the X-ray diffraction stick pattern of Ca6HgPb3 was simulated for Cu Kα (weighted mean of Kα1 and Kα2).
Lines closer than 0.1° are merged.

Top 8 peaks for 2θ from 5° to 70°, sorted by position:
2θ 22.35, 3.979 Å, I 85; 2θ 22.73, 3.912 Å, I 43; 2θ 31.05, 2.880 Å, I 37; 2θ 32.03, 2.795 Å, I 82; 2θ 32.15, 2.784 Å, I 100; 2θ 32.55, 2.750 Å, I 55; 2θ 45.60, 1.989 Å, I 25; 2θ 57.81, 1.595 Å, I 50

Unit cell a=9.7412 b=5.5009 c=12.1467 alpha=90.00 beta=107.78 gamma=90.00
Sites, in units of the cell vectors:
Ca1 0.0272 0.2500 0.4077
Ca2 0.1501 0.7500 0.1836
Ca3 0.2647 0.2500 0.9991
Ca4 0.3399 0.7500 0.8210
Ca5 0.3659 0.2500 0.3247
Ca6 0.3953 0.2500 0.6167
Ca7 0.6047 0.7500 0.3833
Ca8 0.6341 0.7500 0.6753
Ca9 0.6601 0.2500 0.1790
Ca10 0.7353 0.7500 0.0009
Ca11 0.8499 0.2500 0.8164
Ca12 0.9728 0.7500 0.5923
Hg1 0.4532 0.7500 0.1169
Hg2 0.5468 0.2500 0.8831
Pb1 0.0286 0.7500 0.8981
Pb2 0.1370 0.2500 0.7172
Pb3 0.2889 0.7500 0.4698
Pb4 0.7111 0.2500 0.5302
Pb5 0.8630 0.7500 0.2828
Pb6 0.9714 0.2500 0.1019

No. 2
Starting from a cell relaxed with PBE, the X-ray diffraction stick pattern of Pm8CoC3Cl4 was simulated for Cu Kα (weighted mean of Kα1 and Kα2).
Lines closer than 0.1° are merged.

Top 8 peaks for 2θ from 5° to 70°, sorted by position:
2θ 12.51, 7.074 Å, I 22; 2θ 28.20, 3.165 Å, I 66; 2θ 31.83, 2.812 Å, I 100; 2θ 34.32, 2.613 Å, I 24; 2θ 40.31, 2.237 Å, I 21; 2θ 43.70, 2.071 Å, I 22; 2θ 47.50, 1.914 Å, I 38; 2θ 62.49, 1.486 Å, I 19

Unit cell a=8.3415 b=8.3415 c=8.3415 alpha=54.64 beta=54.64 gamma=54.64
Sites, in units of the cell vectors:
Pm1 0.2197 0.7378 0.7378
Pm2 0.2305 0.2305 0.2305
Pm3 0.2622 0.2622 0.7803
Pm4 0.2622 0.7802 0.2622
Pm5 0.7378 0.2197 0.7378
Pm6 0.7378 0.7378 0.2197
Pm7 0.7695 0.7695 0.7695
Pm8 0.7803 0.2622 0.2622
Co1 0.5000 0.5000 0.5000
C1 0.0000 0.0000 0.5000
C2 0.0000 0.5000 0.0000
C3 0.5000 0.0000 0.0000
Cl1 0.0000 0.0000 0.0000
Cl2 0.0000 0.5000 0.5000
Cl3 0.5000 0.0000 0.5000
Cl4 0.5000 0.5000 0.0000